Record 1
The following is a computed powder XRD pattern of KSrO3. It was derived from a GGA-PBE-relaxed structure, using copper Kα.
Peak positions follow from Bragg's law for the DFT cell and can differ from measured ones.

Cell and atoms:
Cell: 4.8467 4.8467 4.8467 Å, 90.00 90.00 90.00°
Positions (direct):
K (0.0000, 0.0000, 0.0000)
Sr (0.5000, 0.5000, 0.5000)
O (0.0000, 0.5000, 0.5000)
O (0.5000, 0.0000, 0.5000)
O (0.5000, 0.5000, 0.0000)

Main lines, most intense first (10 to 80 degrees two-theta):
3.427 Å, intensity 100; 2.423 Å, intensity 49; 1.979 Å, intensity 42; 4.847 Å, intensity 38; 1.714 Å, intensity 30; 1.295 Å, intensity 21; 2.168 Å, intensity 19; 1.533 Å, intensity 18; 1.399 Å, intensity 9; 1.616 Å, intensity 9

---

Record 2
The following is a computed powder XRD pattern of CaTi8Zn2O19. It was derived from a GGA-PBE-relaxed structure, using copper Kα.
Peak positions follow from Bragg's law for the DFT cell and can differ from measured ones.

Cell and atoms:
Cell: 9.2861 9.3051 9.3087 Å, 68.49 68.52 68.58°
Positions (direct):
Ca (0.0000, 0.0000, 0.0000)
Ca (0.4937, 0.5021, 0.5043)
Ti (0.0091, 0.3537, 0.1346)
Ti (0.0740, 0.6430, 0.4820)
Ti (0.1457, 0.3085, 0.7196)
Ti (0.2733, 0.8505, 0.6984)
Ti (0.2929, 0.7247, 0.1539)
Ti (0.3418, 0.1328, 0.0209)
Ti (0.3487, 0.5283, 0.9273)
Ti (0.4683, 0.0782, 0.6475)
Ti (0.5163, 0.9208, 0.3672)
Ti (0.6364, 0.4721, 0.0844)
Ti (0.6507, 0.8660, 0.9886)
Ti (0.6922, 0.2815, 0.8541)
Ti (0.7176, 0.1496, 0.3076)
Ti (0.8442, 0.7039, 0.2861)
Ti (0.8697, 0.9827, 0.6527)
Ti (0.9156, 0.3570, 0.5311)
Zn (0.1281, 0.0127, 0.3500)
Zn (0.3067, 0.3092, 0.3105)
Zn (0.6872, 0.6906, 0.6951)
Zn (0.9845, 0.6532, 0.8700)
O (0.0542, 0.8655, 0.7627)
O (0.0637, 0.7172, 0.2415)
O (0.0812, 0.5332, 0.6979)
O (0.1325, 0.3846, 0.4893)
O (0.1437, 0.5038, 0.0005)
O (0.1510, 0.2346, 0.9435)
O (0.2148, 0.2168, 0.2077)
O (0.2391, 0.9404, 0.1378)
O (0.2415, 0.0663, 0.7193)
O (0.2801, 0.7566, 0.9367)
O (0.2891, 0.6370, 0.3754)
O (0.3032, 0.9152, 0.4670)
O (0.3602, 0.6265, 0.7115)
O (0.3708, 0.2943, 0.6363)
O (0.3890, 0.4862, 0.1390)
O (0.4564, 0.2972, 0.9242)
O (0.4822, 0.0145, 0.8633)
O (0.4825, 0.1356, 0.3933)
O (0.5094, 0.9884, 0.1434)
O (0.5137, 0.8650, 0.6122)
O (0.5418, 0.7005, 0.0807)
O (0.6095, 0.5118, 0.8678)
O (0.6229, 0.7064, 0.3708)
O (0.6264, 0.3724, 0.2999)
O (0.6976, 0.0805, 0.5436)
O (0.6993, 0.3691, 0.6318)
O (0.7071, 0.2397, 0.0724)
O (0.7592, 0.0594, 0.8499)
O (0.7587, 0.9321, 0.2904)
O (0.7714, 0.7974, 0.7909)
O (0.8361, 0.7734, 0.0677)
O (0.8535, 0.4766, 0.0214)
O (0.8598, 0.6110, 0.5165)
O (0.9177, 0.4582, 0.3033)
O (0.9278, 0.2847, 0.7646)
O (0.9335, 0.1600, 0.2311)
O (0.9761, 0.1451, 0.5246)
O (0.9977, 0.8504, 0.5035)

Main lines, most intense first (10 to 80 degrees two-theta):
3.097 Å, intensity 100; 2.878 Å, intensity 94; 2.929 Å, intensity 92; 1.452 Å, intensity 83; 2.498 Å, intensity 71; 3.446 Å, intensity 66; 2.666 Å, intensity 64; 1.620 Å, intensity 53; 2.779 Å, intensity 52; 2.272 Å, intensity 52

---

Record 3
The following is a computed powder XRD pattern of BiHSe2O6. It was derived from a GGA-PBE-relaxed structure, using copper Kα.
Peak positions follow from Bragg's law for the DFT cell and can differ from measured ones.

Cell and atoms:
Cell: 4.6225 4.6225 16.4545 Å, 90.12 90.12 103.64°
Positions (direct):
Bi (0.2219, 0.7781, 0.5000)
Bi (0.7781, 0.2219, 0.0000)
H (0.0334, 0.9552, 0.7147)
H (0.9552, 0.0334, 0.2147)
Se (0.2549, 0.7701, 0.1511)
Se (0.3939, 0.6311, 0.8834)
Se (0.6311, 0.3939, 0.3834)
Se (0.7701, 0.2549, 0.6511)
O (0.0105, 0.4467, 0.4007)
O (0.0165, 0.5145, 0.8923)
O (0.0940, 0.9222, 0.2375)
O (0.0984, 0.4075, 0.6029)
O (0.4075, 0.0984, 0.1029)
O (0.4467, 0.0105, 0.9007)
O (0.5088, 0.5485, 0.9821)
O (0.5145, 0.0165, 0.3923)
O (0.5485, 0.5088, 0.4821)
O (0.6308, 0.9379, 0.5974)
O (0.9222, 0.0940, 0.7375)
O (0.9379, 0.6308, 0.0974)

Main lines, most intense first (10 to 80 degrees two-theta):
3.475 Å, intensity 100; 8.227 Å, intensity 76; 2.655 Å, intensity 32; 3.634 Å, intensity 23; 4.333 Å, intensity 21; 2.857 Å, intensity 17; 3.324 Å, intensity 15; 2.066 Å, intensity 14; 2.210 Å, intensity 12; 3.548 Å, intensity 9

---

Record 4
The following is a computed powder XRD pattern of NbS2Br2. It was derived from a GGA-PBE-relaxed structure, using copper Kα.
Peak positions follow from Bragg's law for the DFT cell and can differ from measured ones.

Cell and atoms:
Cell: 6.6579 6.6607 7.7112 Å, 90.28 111.84 118.95°
Positions (direct):
Nb (0.1267, 0.3746, 0.0004)
Nb (0.8733, 0.6254, 0.9996)
S (0.1411, 0.5579, 0.2941)
S (0.1976, 0.7347, 0.8715)
S (0.8024, 0.2653, 0.1285)
S (0.8589, 0.4421, 0.7059)
Br (0.2308, 0.0752, 0.2228)
Br (0.3599, 0.3316, 0.7775)
Br (0.6401, 0.6684, 0.2225)
Br (0.7692, 0.9248, 0.7772)

Main lines, most intense first (10 to 80 degrees two-theta):
6.970 Å, intensity 100; 3.001 Å, intensity 35; 2.919 Å, intensity 35; 5.477 Å, intensity 20; 2.519 Å, intensity 19; 1.850 Å, intensity 18; 5.675 Å, intensity 17; 2.403 Å, intensity 15; 4.992 Å, intensity 14; 3.129 Å, intensity 13

---

Record 5
The following is a computed powder XRD pattern of Cs2TlSbI6. It was derived from a GGA-PBE-relaxed structure, using copper Kα.
Peak positions follow from Bragg's law for the DFT cell and can differ from measured ones.

Cell and atoms:
Cell: 8.9950 8.9950 8.9950 Å, 60.00 60.00 60.00°
Positions (direct):
Cs (0.2500, 0.2500, 0.2500)
Cs (0.7500, 0.7500, 0.7500)
Tl (0.0000, 0.0000, 0.0000)
Sb (0.5000, 0.5000, 0.5000)
I (0.2614, 0.2614, 0.7386)
I (0.2614, 0.7386, 0.2614)
I (0.2614, 0.7386, 0.7386)
I (0.7386, 0.2614, 0.2614)
I (0.7386, 0.2614, 0.7386)
I (0.7386, 0.7386, 0.2614)

Main lines, most intense first (10 to 80 degrees two-theta):
3.180 Å, intensity 100; 2.249 Å, intensity 75; 3.672 Å, intensity 52; 1.422 Å, intensity 33; 4.497 Å, intensity 30; 6.360 Å, intensity 29; 1.836 Å, intensity 26; 1.298 Å, intensity 24; 1.918 Å, intensity 23; 2.844 Å, intensity 16